Record 1
The following is a computed powder X-ray diffraction pattern of Mg4SnPb. It was derived from a structure optimized by DFT (GGA-PBE), using Cu Kα, 1.54184 Å.
Peak positions follow from Bragg's law for the DFT cell and can differ from measured ones.

Largest 8 diffraction maxima, by angle, 2θ from 10° to 80°:
22.46°, intensity 100
25.99°, intensity 24
37.09°, intensity 74
43.79°, intensity 54
53.46°, intensity 13
58.68°, intensity 19
66.82°, intensity 18
71.47°, intensity 11

Atomic structure:
a b c (Å): 8.399 4.852 8.394
angles (deg): 90.00 109.58 90.00
Element x y z (fractional)
Mg 0.124 0.000 0.373
Mg 0.126 0.500 0.877
Mg 0.374 0.000 0.123
Mg 0.376 0.500 0.627
Mg 0.624 0.500 0.373
Mg 0.626 0.000 0.877
Mg 0.874 0.500 0.123
Mg 0.876 0.000 0.627
Sn 0.000 0.000 0.000
Sn 0.500 0.500 0.000
Pb 0.000 0.500 0.500
Pb 0.500 0.000 0.500

Record 2
The following is a computed powder X-ray diffraction pattern of Pr8C3Cl3O. It was derived from a structure optimized by DFT (GGA-PBE), using Cu Kα, 1.54184 Å.
Peak positions follow from Bragg's law for the DFT cell and can differ from measured ones.

Largest 8 diffraction maxima, by angle, 2θ from 10° to 80°:
12.65°, intensity 19
25.46°, intensity 23
28.37°, intensity 86
32.06°, intensity 100
34.59°, intensity 23
40.67°, intensity 19
44.11°, intensity 23
47.77°, intensity 38

Atomic structure:
a b c (Å): 7.620 7.620 8.270
angles (deg): 117.52 117.52 59.89
Element x y z (fractional)
Pr 0.227 0.736 0.699
Pr 0.233 0.233 0.699
Pr 0.264 0.264 0.301
Pr 0.264 0.773 0.301
Pr 0.736 0.227 0.699
Pr 0.736 0.736 0.699
Pr 0.767 0.767 0.301
Pr 0.773 0.264 0.301
C 0.000 0.000 0.500
C 0.000 0.500 0.500
C 0.500 0.000 0.500
Cl 0.000 0.500 0.000
Cl 0.500 0.000 0.000
Cl 0.500 0.500 0.000
O 0.500 0.500 0.500

Record 3
The following is a computed powder X-ray diffraction pattern of Ho2Er2Th15. It was derived from a structure optimized by DFT (GGA-PBE), using Cu Kα, 1.54184 Å.
Peak positions follow from Bragg's law for the DFT cell and can differ from measured ones.

Largest 8 diffraction maxima, by angle, 2θ from 10° to 80°:
15.60°, intensity 26
27.19°, intensity 24
30.91°, intensity 35
31.35°, intensity 100
31.52°, intensity 90
34.80°, intensity 29
35.20°, intensity 93
56.09°, intensity 40

Atomic structure:
a b c (Å): 8.747 8.747 8.747
angles (deg): 80.99 80.99 80.99
Element x y z (fractional)
Ho 0.189 0.189 0.189
Ho 0.811 0.811 0.811
Er 0.403 0.403 0.403
Er 0.597 0.597 0.597
Th 0.000 0.500 0.500
Th 0.141 0.141 0.654
Th 0.141 0.654 0.141
Th 0.200 0.500 0.800
Th 0.200 0.800 0.500
Th 0.346 0.859 0.859
Th 0.500 0.000 0.500
Th 0.500 0.200 0.800
Th 0.500 0.500 0.000
Th 0.500 0.800 0.200
Th 0.654 0.141 0.141
Th 0.800 0.200 0.500
Th 0.800 0.500 0.200
Th 0.859 0.346 0.859
Th 0.859 0.859 0.346

Record 4
The following is a computed powder X-ray diffraction pattern of Li2CrGaN4. It was derived from a structure optimized by DFT (GGA-PBE), using Cu Kα, 1.54184 Å.
Peak positions follow from Bragg's law for the DFT cell and can differ from measured ones.

Largest 8 diffraction maxima, by angle, 2θ from 10° to 80°:
15.33°, intensity 61
23.10°, intensity 100
28.58°, intensity 35
32.59°, intensity 38
34.75°, intensity 34
35.59°, intensity 27
37.06°, intensity 37
46.27°, intensity 30

Atomic structure:
a b c (Å): 6.246 5.781 5.163
angles (deg): 90.00 90.00 90.00
Element x y z (fractional)
Li 0.249 0.160 0.000
Li 0.251 0.840 0.500
Li 0.749 0.840 0.500
Li 0.751 0.160 0.000
Cr 0.000 0.662 0.009
Cr 0.500 0.338 0.509
Ga 0.000 0.346 0.508
Ga 0.500 0.654 0.008
N 0.000 0.385 0.885
N 0.000 0.648 0.344
N 0.235 0.810 0.919
N 0.265 0.190 0.419
N 0.500 0.352 0.844
N 0.500 0.615 0.385
N 0.735 0.190 0.419
N 0.765 0.810 0.919